Record 1
# MgCu2Te2O8
Theoretical PXRD pattern, copper Kα. Input: a DFT-relaxed cell (PBE, the Materials Project).
Kinematic intensities with the Lorentz-polarization factor, no thermal factor.

Cell and atoms:
```
data_MgCu2Te2O8
_space_group_name_H-M_alt 'P -1'
_space_group_IT_number 2
_cell_length_a 5.594
_cell_length_b 6.227
_cell_length_c 6.480
_cell_angle_alpha 118.70
_cell_angle_beta 112.49
_cell_angle_gamma 90.06
loop_
_space_group_symop_operation_xyz
'x,y,z'
'-x,-y,-z'
loop_
_atom_site_label
_atom_site_type_symbol
_atom_site_fract_x
_atom_site_fract_y
_atom_site_fract_z
Mg1 Mg 0.000 0.000 0.000
Cu1 Cu 0.000 0.500 0.000
Cu2 Cu 0.500 0.500 0.000
Te1 Te 0.000 0.000 0.500
Te2 Te 0.000 0.500 0.500
O1 O 0.188 0.213 0.890
O2 O 0.188 0.677 0.890
O3 O 0.208 0.220 0.439
O4 O 0.230 0.748 0.496
```

Peak list (8 most intense, 2θ from 10° to 90°, sorted by position)
h k l	d (Å)	two_theta	I/Imax
0 1 0	5.318	16.67	28.8
1 0 0	5.032	17.62	100.0
1 0 -1	4.779	18.57	51.5
0 2 0	2.659	33.71	34.7
1 2 -1	2.648	33.86	21.3
1 2 -2	2.609	34.38	32.2
0 0 2	2.557	35.10	41.2
2 2 -2	2.078	43.54	54.6

---

Record 2
# MgTi3CuO8
Theoretical PXRD pattern, copper Kα. Input: a DFT-relaxed cell (PBE, the Materials Project).
Kinematic intensities with the Lorentz-polarization factor, no thermal factor.

Cell and atoms:
```
data_MgTi3CuO8
_space_group_name_H-M_alt 'P m m 2'
_space_group_IT_number 25
_cell_length_a 3.793
_cell_length_b 3.977
_cell_length_c 10.002
_cell_angle_alpha 90.00
_cell_angle_beta 90.00
_cell_angle_gamma 90.00
loop_
_space_group_symop_operation_xyz
'x,y,z'
'-x,-y,z'
'-x,y,z'
'x,-y,z'
loop_
_atom_site_label
_atom_site_type_symbol
_atom_site_fract_x
_atom_site_fract_y
_atom_site_fract_z
Mg1 Mg 0.000 0.000 0.000
Ti1 Ti 0.000 0.500 0.782
Ti2 Ti 0.500 0.000 0.319
Ti3 Ti 0.500 0.500 0.074
Cu1 Cu 0.000 0.000 0.553
O1 O 0.000 0.000 0.292
O2 O 0.000 0.000 0.805
O3 O 0.000 0.500 0.036
O4 O 0.000 0.500 0.604
O5 O 0.500 0.000 0.073
O6 O 0.500 0.000 0.499
O7 O 0.500 0.500 0.258
O8 O 0.500 0.500 0.860
```

Peak list (8 most intense, 2θ from 10° to 90°, sorted by position)
h k l	d (Å)	two_theta	I/Imax
0 1 1	3.695	24.08	80.5
1 0 1	3.547	25.11	100.0
0 0 4	2.501	35.91	64.4
1 1 2	2.406	37.37	31.4
0 2 0	1.988	45.63	45.6
2 0 0	1.897	47.97	38.4
1 0 5	1.769	51.66	25.0
0 2 4	1.556	59.38	24.9